# 1
Simulated powder diffractogram
Compound: VInSe4
Radiation: CuKα
Structure: a crystal structure in Alexandria, relaxed with PBE
Neutral-atom scattering factors, no anomalous dispersion.

Structure:
```
data_VInSe4
_space_group_name_H-M_alt 'C 1 2/m 1'
_space_group_IT_number 12
_space_group_name_Hall '-C 2y'
_cell_length_a 13.1327
_cell_length_b 3.5384
_cell_length_c 6.8592
_cell_angle_alpha 90.00
_cell_angle_beta 114.90
_cell_angle_gamma 90.00
loop_
_atom_site_label
_atom_site_fract_x
_atom_site_fract_y
_atom_site_fract_z
V1 0.0000 0.0000 0.0000
In1 0.0000 0.5000 0.5000
Se1 0.1234 0.5000 0.2481
Se2 0.1284 0.0000 0.8128
```

Most intense lines, 2θ = 15–90°, sorted by position:
(1 1 1), 2θ = 31.52°, I = 100.0
(4 0 -2), 2θ = 31.66°, I = 54.6
(3 1 1), 2θ = 40.67°, I = 30.4
(5 1 -1), 2θ = 42.91°, I = 28.5
(3 1 -3), 2θ = 47.56°, I = 31.3
(0 2 0), 2θ = 51.67°, I = 15.6
(7 1 -1), 2θ = 56.06°, I = 19.1
(4 2 -2), 2θ = 61.87°, I = 15.1

***

# 2
Simulated powder diffractogram
Compound: Y2InSe4
Radiation: CuKα
Structure: a crystal structure in Alexandria, relaxed with PBE
Neutral-atom scattering factors, no anomalous dispersion.

Structure:
```
data_Y2InSe4
_space_group_name_H-M_alt 'C 1 2/m 1'
_space_group_IT_number 12
_space_group_name_Hall '-C 2y'
_cell_length_a 15.3021
_cell_length_b 4.1161
_cell_length_c 7.2506
_cell_angle_alpha 90.00
_cell_angle_beta 116.04
_cell_angle_gamma 90.00
loop_
_atom_site_label
_atom_site_fract_x
_atom_site_fract_y
_atom_site_fract_z
Y1 0.2330 0.0000 0.2204
In1 0.0000 0.5000 0.5000
Se1 0.1268 0.5000 0.9495
Se2 0.1414 0.0000 0.4924
```

Most intense lines, 2θ = 15–90°, sorted by position:
(1 1 1), 2θ = 27.88°, I = 76.4
(4 0 -2), 2θ = 28.31°, I = 82.7
(3 1 1), 2θ = 35.88°, I = 100.0
(5 1 -1), 2θ = 36.59°, I = 58.6
(6 0 -2), 2θ = 36.73°, I = 48.5
(3 1 -3), 2θ = 43.44°, I = 86.5
(0 2 0), 2θ = 44.00°, I = 44.1
(6 0 1), 2θ = 47.51°, I = 34.7

***

# 3
Simulated powder diffractogram
Compound: YInSe3
Radiation: CuKα
Structure: a crystal structure in Alexandria, relaxed with PBE
Neutral-atom scattering factors, no anomalous dispersion.

Structure:
```
data_YInSe3
_space_group_name_H-M_alt 'C 1 m 1'
_space_group_IT_number 8
_space_group_name_Hall 'C -2y'
_cell_length_a 7.2653
_cell_length_b 4.1955
_cell_length_c 10.3351
_cell_angle_alpha 90.00
_cell_angle_beta 103.61
_cell_angle_gamma 90.00
loop_
_atom_site_label
_atom_site_fract_x
_atom_site_fract_y
_atom_site_fract_z
Y1 0.0000 0.0000 0.0000
In1 0.4755 0.0000 0.4235
Se1 0.1201 0.5000 0.8608
Se2 0.3471 0.5000 0.5380
Se3 0.3897 0.0000 0.1684
```

Most intense lines, 2θ = 15–90°, sorted by position:
(0 0 2), 2θ = 17.66°, I = 55.6
(1 1 0), 2θ = 24.68°, I = 26.1
(2 0 0), 2θ = 25.22°, I = 100.0
(1 1 -2), 2θ = 28.69°, I = 86.7
(2 0 2), 2θ = 34.29°, I = 88.4
(1 1 -4), 2θ = 41.27°, I = 26.4
(0 2 0), 2θ = 43.13°, I = 94.2
(2 0 -5), 2θ = 46.47°, I = 63.1

***

# 4
Simulated powder diffractogram
Compound: ZnIn5Se8
Radiation: CuKα
Structure: a crystal structure in Alexandria, relaxed with PBE
Neutral-atom scattering factors, no anomalous dispersion.

Structure:
```
data_ZnIn5Se8
_space_group_name_H-M_alt 'F -4 3 m'
_space_group_IT_number 216
_space_group_name_Hall 'F -4 2 3'
_cell_length_a 11.5024
_cell_length_b 11.5024
_cell_length_c 11.5024
_cell_angle_alpha 90.00
_cell_angle_beta 90.00
_cell_angle_gamma 90.00
loop_
_atom_site_label
_atom_site_fract_x
_atom_site_fract_y
_atom_site_fract_z
Zn1 0.0000 0.0000 0.0000
In1 0.1279 0.1279 0.6279
In2 0.2500 0.2500 0.2500
Se1 0.1157 0.1157 0.3843
Se2 0.1288 0.1288 0.8712
```

Most intense lines, 2θ = 15–90°, sorted by position:
(2 2 0), 2θ = 21.86°, I = 15.6
(3 1 1), 2θ = 25.69°, I = 69.8
(4 0 0), 2θ = 31.10°, I = 69.7
(5 1 1), 2θ = 40.76°, I = 37.6
(4 4 0), 2θ = 44.56°, I = 100.0
(4 4 4), 2θ = 55.34°, I = 16.7
(8 4 0), 2θ = 73.66°, I = 20.3
(8 4 4), 2θ = 82.10°, I = 30.6

***

# 5
Simulated powder diffractogram
Compound: Zn4InSe5
Radiation: CuKα
Structure: a crystal structure in Alexandria, relaxed with PBE
Neutral-atom scattering factors, no anomalous dispersion.

Structure:
```
data_Zn4InSe5
_space_group_name_H-M_alt 'R 3 m'
_space_group_IT_number 160
_space_group_name_Hall 'R 3 -2"'
_cell_length_a 4.1018
_cell_length_b 4.1018
_cell_length_c 52.6304
_cell_angle_alpha 90.00
_cell_angle_beta 90.00
_cell_angle_gamma 120.00
loop_
_atom_site_label
_atom_site_fract_x
_atom_site_fract_y
_atom_site_fract_z
Zn1 0.0000 0.0000 0.0000
Zn2 0.0000 0.0000 0.1876
Zn3 0.0000 0.0000 0.3959
Zn4 0.0000 0.0000 0.7918
In1 0.0000 0.0000 0.5955
Se1 0.0000 0.0000 0.0473
Se2 0.0000 0.0000 0.2355
Se3 0.0000 0.0000 0.4433
Se4 0.0000 0.0000 0.6509
Se5 0.0000 0.0000 0.8393
```

Most intense lines, 2θ = 15–90°, sorted by position:
(0 0 15), 2θ = 25.38°, I = 28.4
(0 1 5), 2θ = 26.48°, I = 100.0
(0 1 20), 2θ = 42.76°, I = 36.7
(1 1 0), 2θ = 44.16°, I = 48.6
(1 1 15), 2θ = 51.62°, I = 22.2
(2 0 5), 2θ = 52.23°, I = 14.9
(2 0 20), 2θ = 63.16°, I = 11.1
(1 2 5), 2θ = 70.73°, I = 11.9

***

# 6
Simulated powder diffractogram
Compound: ZnIn2Se
Radiation: CuKα
Structure: a crystal structure in Alexandria, relaxed with PBE
Neutral-atom scattering factors, no anomalous dispersion.

Structure:
```
data_ZnIn2Se
_space_group_name_H-M_alt 'C m m 2'
_space_group_IT_number 35
_space_group_name_Hall 'C 2 -2'
_cell_length_a 4.8487
_cell_length_b 5.2732
_cell_length_c 7.4516
_cell_angle_alpha 90.00
_cell_angle_beta 90.00
_cell_angle_gamma 90.00
loop_
_atom_site_label
_atom_site_fract_x
_atom_site_fract_y
_atom_site_fract_z
Zn1 0.0000 0.0000 0.0000
In1 0.0000 0.0000 0.4373
In2 0.0000 0.5000 0.7553
Se1 0.0000 0.5000 0.1680
```

Most intense lines, 2θ = 15–90°, sorted by position:
(1 1 1), 2θ = 27.71°, I = 23.0
(0 2 0), 2θ = 34.00°, I = 33.6
(1 1 2), 2θ = 34.81°, I = 100.0
(2 0 0), 2θ = 37.08°, I = 26.4
(2 2 0), 2θ = 51.19°, I = 20.4
(1 3 2), 2θ = 61.37°, I = 18.4
(3 1 2), 2θ = 65.38°, I = 15.1
(1 1 5), 2θ = 68.19°, I = 11.5

***

# 7
Simulated powder diffractogram
Compound: Zn2In2Se5
Radiation: CuKα
Structure: a crystal structure in Alexandria, relaxed with PBE
Neutral-atom scattering factors, no anomalous dispersion.

Structure:
```
data_Zn2In2Se5
_space_group_name_H-M_alt 'C 1 m 1'
_space_group_IT_number 8
_space_group_name_Hall 'C -2y'
_cell_length_a 7.1032
_cell_length_b 4.1006
_cell_length_c 16.5076
_cell_angle_alpha 90.00
_cell_angle_beta 98.28
_cell_angle_gamma 90.00
loop_
_atom_site_label
_atom_site_fract_x
_atom_site_fract_y
_atom_site_fract_z
Zn1 0.0000 0.0000 0.0000
Zn2 0.1702 0.0000 0.5127
In1 0.0845 0.5000 0.7545
In2 0.2641 0.5000 0.2951
Se1 0.0734 0.0000 0.2236
Se2 0.1816 0.5000 0.0446
Se3 0.2192 0.0000 0.6590
Se4 0.3183 0.5000 0.4573
Se5 0.4464 0.5000 0.8398
```

Most intense lines, 2θ = 15–90°, sorted by position:
(0 0 4), 2θ = 21.76°, I = 45.0
(1 1 0), 2θ = 25.14°, I = 46.7
(2 0 0), 2θ = 25.34°, I = 32.3
(2 0 1), 2θ = 26.70°, I = 55.8
(1 1 -3), 2θ = 29.06°, I = 37.2
(2 0 5), 2θ = 40.30°, I = 39.3
(0 2 0), 2θ = 44.17°, I = 100.0
(2 0 -8), 2θ = 48.22°, I = 46.3

***

# 8
Simulated powder diffractogram
Compound: ZrInSe3
Radiation: CuKα
Structure: a crystal structure in Alexandria, relaxed with PBE
Neutral-atom scattering factors, no anomalous dispersion.

Structure:
```
data_ZrInSe3
_space_group_name_H-M_alt 'A m a 2'
_space_group_IT_number 40
_space_group_name_Hall 'A 2 -2a'
_cell_length_a 3.9538
_cell_length_b 20.1126
_cell_length_c 7.1808
_cell_angle_alpha 90.00
_cell_angle_beta 90.00
_cell_angle_gamma 90.00
loop_
_atom_site_label
_atom_site_fract_x
_atom_site_fract_y
_atom_site_fract_z
Zr1 0.2500 0.1756 0.0000
In1 0.2500 0.3523 0.9841
Se1 0.2500 0.0899 0.2897
Se2 0.2500 0.2506 0.6751
Se3 0.2500 0.3970 0.3451
```

Most intense lines, 2θ = 15–90°, sorted by position:
(0 4 0), 2θ = 17.64°, I = 54.4
(1 3 1), 2θ = 29.02°, I = 100.0
(0 4 2), 2θ = 30.60°, I = 40.9
(1 5 1), 2θ = 34.16°, I = 76.1
(0 6 2), 2θ = 36.68°, I = 60.9
(1 7 1), 2θ = 40.81°, I = 44.0
(1 1 3), 2θ = 44.47°, I = 78.3
(2 0 0), 2θ = 45.90°, I = 33.2

***

# 9
Simulated powder diffractogram
Compound: Zr2In2Se7
Radiation: CuKα
Structure: a crystal structure in Alexandria, relaxed with PBE
Neutral-atom scattering factors, no anomalous dispersion.

Structure:
```
data_Zr2In2Se7
_space_group_name_H-M_alt 'C 1 2/m 1'
_space_group_IT_number 12
_space_group_name_Hall '-C 2y'
_cell_length_a 8.3009
_cell_length_b 11.7443
_cell_length_c 7.2881
_cell_angle_alpha 90.00
_cell_angle_beta 103.11
_cell_angle_gamma 90.00
loop_
_atom_site_label
_atom_site_fract_x
_atom_site_fract_y
_atom_site_fract_z
Zr1 0.0000 0.1743 0.0000
In1 0.2498 0.0000 0.6407
Se1 0.0000 0.5000 0.5000
Se2 0.0626 0.0000 0.2494
Se3 0.2460 0.2031 0.7998
```

Most intense lines, 2θ = 15–90°, sorted by position:
(0 2 1), 2θ = 19.62°, I = 100.0
(1 1 1), 2θ = 19.91°, I = 77.2
(3 1 -1), 2θ = 33.66°, I = 48.9
(1 3 2), 2θ = 37.71°, I = 64.6
(2 2 -3), 2θ = 42.54°, I = 40.0
(1 5 1), 2θ = 42.84°, I = 35.3
(3 3 -2), 2θ = 43.90°, I = 46.6
(3 5 -1), 2θ = 51.29°, I = 35.2

***

# 10
Simulated powder diffractogram
Compound: In2Si3
Radiation: CuKα
Structure: a crystal structure in Alexandria, relaxed with PBE
Neutral-atom scattering factors, no anomalous dispersion.

Structure:
```
data_In2Si3
_space_group_name_H-M_alt 'F d d 2'
_space_group_IT_number 43
_space_group_name_Hall 'F 2 -2d'
_cell_length_a 10.8376
_cell_length_b 13.0524
_cell_length_c 5.8287
_cell_angle_alpha 90.00
_cell_angle_beta 90.00
_cell_angle_gamma 90.00
loop_
_atom_site_label
_atom_site_fract_x
_atom_site_fract_y
_atom_site_fract_z
In1 0.1061 0.3035 0.0000
Si1 0.0000 0.0000 0.2825
Si2 0.0587 0.3615 0.5162
```

Most intense lines, 2θ = 15–90°, sorted by position:
(1 1 1), 2θ = 18.57°, I = 57.9
(1 3 1), 2θ = 26.86°, I = 42.3
(3 1 1), 2θ = 29.89°, I = 84.6
(2 4 0), 2θ = 32.02°, I = 100.0
(0 2 2), 2θ = 33.68°, I = 76.3
(3 3 1), 2θ = 35.82°, I = 73.6
(2 2 2), 2θ = 37.66°, I = 74.5
(1 5 1), 2θ = 38.70°, I = 45.9

***

# 11
Simulated powder diffractogram
Compound: In2Si3
Radiation: CuKα
Structure: a crystal structure in Alexandria, relaxed with PBE
Neutral-atom scattering factors, no anomalous dispersion.

Structure:
```
data_In2Si3
_space_group_name_H-M_alt 'P -3 m 1'
_space_group_IT_number 164
_space_group_name_Hall '-P 3 2"'
_cell_length_a 3.8833
_cell_length_b 3.8833
_cell_length_c 8.4310
_cell_angle_alpha 90.00
_cell_angle_beta 90.00
_cell_angle_gamma 120.00
loop_
_atom_site_label
_atom_site_fract_x
_atom_site_fract_y
_atom_site_fract_z
In1 0.3333 0.6667 0.3108
Si1 0.0000 0.0000 0.5000
Si2 0.3333 0.6667 0.9445
```

Most intense lines, 2θ = 15–90°, sorted by position:
(1 0 0), 2θ = 26.50°, I = 28.3
(1 0 1), 2θ = 28.58°, I = 100.0
(0 0 3), 2θ = 31.84°, I = 19.5
(1 0 2), 2θ = 34.10°, I = 81.1
(0 1 3), 2θ = 41.89°, I = 45.5
(1 1 0), 2θ = 46.79°, I = 43.7
(0 1 4), 2θ = 51.15°, I = 15.9
(1 1 3), 2θ = 57.71°, I = 20.5

***

# 12
Simulated powder diffractogram
Compound: In4Si
Radiation: CuKα
Structure: a crystal structure in Alexandria, relaxed with PBE
Neutral-atom scattering factors, no anomalous dispersion.

Structure:
```
data_In4Si
_space_group_name_H-M_alt 'I m -3 m'
_space_group_IT_number 229
_space_group_name_Hall '-I 4 2 3'
_cell_length_a 6.5591
_cell_length_b 6.5591
_cell_length_c 6.5591
_cell_angle_alpha 90.00
_cell_angle_beta 90.00
_cell_angle_gamma 90.00
loop_
_atom_site_label
_atom_site_fract_x
_atom_site_fract_y
_atom_site_fract_z
In1 0.2500 0.2500 0.2500
Si1 0.0000 0.0000 0.0000
```

Most intense lines, 2θ = 15–90°, sorted by position:
(2 0 0), 2θ = 27.19°, I = 100.0
(2 2 0), 2θ = 38.83°, I = 98.5
(2 2 2), 2θ = 48.05°, I = 27.5
(4 0 0), 2θ = 56.09°, I = 16.3
(4 2 0), 2θ = 63.42°, I = 34.8
(4 2 2), 2θ = 70.31°, I = 32.5
(4 4 0), 2θ = 83.35°, I = 10.3
(6 0 0), 2θ = 89.69°, I = 17.3